(1)
This entry pairs a crystal structure of MgCuHg with its computed powder XRD pattern. Radiation: Cu Kα, 1.54184 Å. Structure: DFT lattice parameters and positions (PBE).
Kinematic intensities with the Lorentz-polarization factor, no thermal factor.

Cell and atoms:
abc: 4.177 4.210 6.390
angles: 90.00 106.71 90.00
Fractional positions:
Mg1 0.115 0.250 0.200
Mg2 0.885 0.750 0.800
Cu1 0.260 0.750 0.494
Cu2 0.740 0.250 0.506
Hg1 0.375 0.250 0.801
Hg2 0.625 0.750 0.199

Principal peaks in the range 15° ≤ 2θ ≤ 90°, sorted by position:
22.22°, I = 36; 22.79°, I = 47; 25.68°, I = 90; 36.96°, I = 94; 38.04°, I = 100; 42.96°, I = 36; 43.36°, I = 33; 44.41°, I = 24


(2)
This entry pairs a crystal structure of HoIn2Pd with its computed powder XRD pattern. Radiation: Cu Kα, 1.54184 Å. Structure: DFT lattice parameters and positions (PBE).
Kinematic intensities with the Lorentz-polarization factor, no thermal factor.

Cell and atoms:
abc: 16.794 7.502 5.681
angles: 90.00 90.00 90.00
Fractional positions:
Ho1 0.108 0.250 0.230
Ho2 0.144 0.750 0.467
Ho3 0.356 0.250 0.967
Ho4 0.392 0.750 0.730
Ho5 0.608 0.250 0.270
Ho6 0.644 0.750 0.033
Ho7 0.856 0.250 0.533
Ho8 0.892 0.750 0.770
In1 0.032 0.047 0.736
In2 0.032 0.453 0.736
In3 0.217 0.549 0.969
In4 0.217 0.951 0.969
In5 0.283 0.049 0.469
In6 0.283 0.451 0.469
In7 0.468 0.547 0.236
In8 0.468 0.953 0.236
In9 0.532 0.047 0.764
In10 0.532 0.453 0.764
In11 0.717 0.549 0.531
In12 0.717 0.951 0.531
In13 0.783 0.049 0.031
In14 0.783 0.451 0.031
In15 0.968 0.547 0.264
In16 0.968 0.953 0.264
Pd1 0.075 0.750 0.991
Pd2 0.170 0.250 0.721
Pd3 0.330 0.750 0.221
Pd4 0.425 0.250 0.491
Pd5 0.575 0.750 0.509
Pd6 0.670 0.250 0.779
Pd7 0.830 0.750 0.279
Pd8 0.925 0.250 0.009

Principal peaks in the range 15° ≤ 2θ ≤ 90°, sorted by position:
32.00°, I = 97; 32.78°, I = 39; 33.25°, I = 57; 35.44°, I = 100; 35.77°, I = 55; 40.84°, I = 53; 41.29°, I = 35; 72.06°, I = 23


(3)
This entry pairs a crystal structure of Y6Ni20P13 with its computed powder XRD pattern. Radiation: Cu Kα, 1.54184 Å. Structure: DFT lattice parameters and positions (PBE).
Kinematic intensities with the Lorentz-polarization factor, no thermal factor.

Cell and atoms:
abc: 12.670 12.670 3.760
angles: 90.00 90.00 120.00
Fractional positions:
Y1 0.051 0.197 0.000
Y2 0.145 0.949 0.000
Y3 0.521 0.385 0.500
Y4 0.615 0.136 0.500
Y5 0.803 0.855 0.000
Y6 0.864 0.479 0.500
Ni1 0.000 0.000 0.500
Ni2 0.014 0.425 0.000
Ni3 0.087 0.737 0.500
Ni4 0.184 0.595 0.500
Ni5 0.229 0.471 0.000
Ni6 0.242 0.771 0.000
Ni7 0.263 0.350 0.500
Ni8 0.312 0.228 0.000
Ni9 0.355 0.101 0.500
Ni10 0.405 0.589 0.500
Ni11 0.411 0.816 0.500
Ni12 0.412 0.986 0.000
Ni13 0.529 0.758 0.000
Ni14 0.575 0.588 0.000
Ni15 0.650 0.913 0.500
Ni16 0.667 0.333 0.000
Ni17 0.746 0.645 0.500
Ni18 0.772 0.084 0.000
Ni19 0.899 0.254 0.500
Ni20 0.916 0.688 0.000
P1 0.051 0.619 0.000
P2 0.101 0.388 0.500
P3 0.196 0.143 0.500
P4 0.287 0.899 0.500
P5 0.333 0.667 0.000
P6 0.381 0.432 0.000
P7 0.471 0.190 0.000
P8 0.568 0.949 0.000
P9 0.612 0.713 0.500
P10 0.719 0.529 0.000
P11 0.810 0.281 0.000
P12 0.857 0.053 0.500
P13 0.947 0.804 0.500

Principal peaks in the range 15° ≤ 2θ ≤ 90°, sorted by position:
37.11°, I = 13; 38.04°, I = 100; 40.72°, I = 10; 46.06°, I = 11; 48.42°, I = 24; 52.05°, I = 22; 73.82°, I = 15; 83.37°, I = 13


(4)
This entry pairs a crystal structure of K3Na8Tl3 with its computed powder XRD pattern. Radiation: Cu Kα, 1.54184 Å. Structure: DFT lattice parameters and positions (PBE).
Kinematic intensities with the Lorentz-polarization factor, no thermal factor.

Cell and atoms:
abc: 10.370 10.370 10.370
angles: 148.33 101.25 87.36
Fractional positions:
K1 0.000 0.000 0.000
K2 0.296 0.296 0.000
K3 0.704 0.704 0.000
Na1 0.014 0.368 0.646
Na2 0.171 0.875 0.296
Na3 0.278 0.632 0.646
Na4 0.421 0.125 0.296
Na5 0.579 0.875 0.704
Na6 0.722 0.368 0.354
Na7 0.829 0.125 0.704
Na8 0.986 0.632 0.354
Tl1 0.350 0.500 0.850
Tl2 0.500 0.000 0.500
Tl3 0.650 0.500 0.150

Principal peaks in the range 15° ≤ 2θ ≤ 90°, sorted by position:
18.99°, I = 43; 21.54°, I = 47; 27.39°, I = 73; 28.36°, I = 100; 31.62°, I = 42; 32.03°, I = 75; 35.26°, I = 67; 36.34°, I = 40


(5)
This entry pairs a crystal structure of Cd3AsPd6 with its computed powder XRD pattern. Radiation: Cu Kα, 1.54184 Å. Structure: DFT lattice parameters and positions (PBE).
Kinematic intensities with the Lorentz-polarization factor, no thermal factor.

Cell and atoms:
abc: 8.863 8.863 4.608
angles: 90.00 90.00 101.31
Fractional positions:
Cd1 0.120 0.880 0.500
Cd2 0.172 0.370 0.988
Cd3 0.370 0.172 0.488
Cd4 0.630 0.828 0.988
Cd5 0.828 0.630 0.488
Cd6 0.880 0.120 0.000
As1 0.374 0.626 0.662
As2 0.626 0.374 0.162
Pd1 0.064 0.198 0.495
Pd2 0.111 0.539 0.478
Pd3 0.198 0.064 0.995
Pd4 0.243 0.757 0.009
Pd5 0.442 0.558 0.178
Pd6 0.461 0.889 0.478
Pd7 0.539 0.111 0.978
Pd8 0.558 0.442 0.678
Pd9 0.757 0.243 0.509
Pd10 0.802 0.936 0.495
Pd11 0.889 0.461 0.978
Pd12 0.936 0.802 0.995

Principal peaks in the range 15° ≤ 2θ ≤ 90°, sorted by position:
30.87°, I = 19; 36.64°, I = 100; 39.08°, I = 67; 39.44°, I = 20; 39.82°, I = 49; 40.51°, I = 18; 44.25°, I = 26; 46.20°, I = 20


(6)
This entry pairs a crystal structure of Si2As with its computed powder XRD pattern. Radiation: Cu Kα, 1.54184 Å. Structure: DFT lattice parameters and positions (PBE).
Kinematic intensities with the Lorentz-polarization factor, no thermal factor.

Cell and atoms:
abc: 3.643 3.643 4.549
angles: 90.00 90.00 120.00
Fractional positions:
Si1 0.333 0.667 0.351
Si2 0.667 0.333 0.649
As1 0.000 0.000 0.000

Principal peaks in the range 15° ≤ 2θ ≤ 90°, sorted by position:
19.51°, I = 12; 28.29°, I = 19; 34.60°, I = 100; 49.40°, I = 32; 50.08°, I = 29; 62.30°, I = 17; 82.83°, I = 13; 83.89°, I = 15


(7)
This entry pairs a crystal structure of YHf2H8 with its computed powder XRD pattern. Radiation: Cu Kα, 1.54184 Å. Structure: DFT lattice parameters and positions (PBE).
Kinematic intensities with the Lorentz-polarization factor, no thermal factor.

Cell and atoms:
abc: 5.826 5.826 5.826
angles: 148.29 121.73 67.87
Fractional positions:
Y1 0.000 0.000 0.000
Hf1 0.328 0.328 0.000
Hf2 0.672 0.672 0.000
H1 0.100 0.834 0.266
H2 0.178 0.678 0.500
H3 0.286 0.500 0.786
H4 0.432 0.166 0.266
H5 0.568 0.834 0.734
H6 0.714 0.500 0.214
H7 0.822 0.322 0.500
H8 0.900 0.166 0.734

Principal peaks in the range 15° ≤ 2θ ≤ 90°, sorted by position:
31.54°, I = 51; 31.94°, I = 100; 32.25°, I = 98; 39.81°, I = 55; 51.65°, I = 54; 56.42°, I = 20; 67.18°, I = 23; 67.71°, I = 23


(8)
This entry pairs a crystal structure of Ac2DyTl3 with its computed powder XRD pattern. Radiation: Cu Kα, 1.54184 Å. Structure: DFT lattice parameters and positions (PBE).
Kinematic intensities with the Lorentz-polarization factor, no thermal factor.

Cell and atoms:
abc: 3.982 3.982 12.284
angles: 90.00 90.00 90.00
Fractional positions:
Ac1 0.000 0.000 0.177
Ac2 0.000 0.000 0.823
Dy1 0.000 0.000 0.500
Tl1 0.500 0.500 0.000
Tl2 0.500 0.500 0.359
Tl3 0.500 0.500 0.641

Principal peaks in the range 15° ≤ 2θ ≤ 90°, sorted by position:
31.33°, I = 100; 31.78°, I = 53; 45.56°, I = 20; 55.49°, I = 15; 56.33°, I = 39; 65.38°, I = 9; 75.25°, I = 8; 75.49°, I = 9


(9)
This entry pairs a crystal structure of Ir3C2 with its computed powder XRD pattern. Radiation: Cu Kα, 1.54184 Å. Structure: DFT lattice parameters and positions (PBE).
Kinematic intensities with the Lorentz-polarization factor, no thermal factor.

Cell and atoms:
abc: 6.193 5.512 7.824
angles: 51.88 44.44 83.68
Fractional positions:
Ir1 0.000 0.000 0.000
Ir2 0.250 0.250 0.250
Ir3 0.348 0.670 0.315
Ir4 0.583 0.935 0.580
Ir5 0.670 0.348 0.667
Ir6 0.935 0.583 0.902
C1 0.010 0.526 0.151
C2 0.099 0.937 0.240
C3 0.526 0.010 0.313
C4 0.937 0.099 0.724

Principal peaks in the range 15° ≤ 2θ ≤ 90°, sorted by position:
33.65°, I = 100; 34.77°, I = 46; 42.00°, I = 58; 49.75°, I = 37; 50.27°, I = 36; 55.63°, I = 26; 68.00°, I = 15; 78.70°, I = 18


(10)
This entry pairs a crystal structure of Li2AcIr2O7 with its computed powder XRD pattern. Radiation: Cu Kα, 1.54184 Å. Structure: DFT lattice parameters and positions (PBE).
Kinematic intensities with the Lorentz-polarization factor, no thermal factor.

Cell and atoms:
abc: 9.742 9.742 9.742
angles: 156.69 156.69 33.20
Fractional positions:
Li1 0.250 0.750 0.500
Li2 0.750 0.250 0.500
Ac1 0.000 0.000 0.000
Ir1 0.385 0.385 0.000
Ir2 0.615 0.615 0.000
O1 0.100 0.600 0.500
O2 0.281 0.281 0.000
O3 0.400 0.900 0.500
O4 0.500 0.500 0.000
O5 0.600 0.100 0.500
O6 0.719 0.719 0.000
O7 0.900 0.400 0.500

Principal peaks in the range 15° ≤ 2θ ≤ 90°, sorted by position:
26.80°, I = 100; 32.16°, I = 54; 33.06°, I = 80; 46.12°, I = 31; 51.07°, I = 27; 54.15°, I = 30; 57.91°, I = 34; 61.64°, I = 19


(11)
This entry pairs a crystal structure of Li3BiAu2 with its computed powder XRD pattern. Radiation: Cu Kα, 1.54184 Å. Structure: DFT lattice parameters and positions (PBE).
Kinematic intensities with the Lorentz-polarization factor, no thermal factor.

Cell and atoms:
abc: 8.076 8.076 5.869
angles: 90.23 90.23 35.25
Fractional positions:
Li1 0.043 0.043 0.250
Li2 0.349 0.349 0.968
Li3 0.350 0.350 0.531
Li4 0.650 0.650 0.469
Li5 0.651 0.651 0.032
Li6 0.957 0.957 0.750
Bi1 0.160 0.160 0.749
Bi2 0.840 0.840 0.251
Au1 0.210 0.210 0.250
Au2 0.489 0.489 0.249
Au3 0.511 0.511 0.751
Au4 0.790 0.790 0.750

Principal peaks in the range 15° ≤ 2θ ≤ 90°, sorted by position:
25.16°, I = 100; 30.46°, I = 41; 36.76°, I = 27; 37.73°, I = 15; 37.83°, I = 15; 39.84°, I = 33; 39.96°, I = 33; 48.46°, I = 24


(12)
This entry pairs a crystal structure of La4SmPb3 with its computed powder XRD pattern. Radiation: Cu Kα, 1.54184 Å. Structure: DFT lattice parameters and positions (PBE).
Kinematic intensities with the Lorentz-polarization factor, no thermal factor.

Cell and atoms:
abc: 9.628 9.628 9.628
angles: 96.35 96.35 141.15
Fractional positions:
La1 0.086 0.779 0.865
La2 0.221 0.086 0.307
La3 0.279 0.586 0.865
La4 0.414 0.279 0.693
La5 0.586 0.721 0.307
La6 0.721 0.414 0.135
La7 0.779 0.914 0.693
La8 0.914 0.221 0.135
Sm1 0.250 0.750 0.500
Sm2 0.750 0.250 0.500
Pb1 0.158 0.342 0.500
Pb2 0.250 0.250 0.000
Pb3 0.342 0.842 0.184
Pb4 0.658 0.158 0.816
Pb5 0.750 0.750 0.000
Pb6 0.842 0.658 0.500

Principal peaks in the range 15° ≤ 2θ ≤ 90°, sorted by position:
28.68°, I = 36; 31.18°, I = 100; 31.95°, I = 67; 34.27°, I = 24; 39.75°, I = 22; 40.36°, I = 24; 51.93°, I = 17; 59.38°, I = 24